[1]
This entry pairs a crystal structure of TcIr8Rh2 with its calculated powder XRD pattern. Radiation: λ = 1.5418 Å (Cu Kα). Structure: a PBE-relaxed structure.
Peak positions follow from Bragg's law for the DFT cell and can differ from measured ones.

Most intense lines, 2θ from 10° to 90°, sorted by position:
22.5°, I 2
27.4°, I 2
40.4°, I 100
47.0°, I 49
68.7°, I 32
82.8°, I 26
82.8°, I 13
87.4°, I 11

```
data_TcIr8Rh2
_chemical_formula_sum 'Tc2 Ir16 Rh4'
_symmetry_space_group_name_H-M 'C 1 2/m 1'
_symmetry_Int_Tables_number 12
_cell_length_a 13.9433
_cell_length_b 3.8651
_cell_length_c 6.1128
_cell_angle_alpha 90.00
_cell_angle_beta 105.18
_cell_angle_gamma 90.00
loop_
_symmetry_equiv_pos_as_xyz
'x,y,z'
'-x,-y,-z'
'-x,y,-z'
'x,-y,z'
'x+1/2,y+1/2,z'
'-x+1/2,-y+1/2,-z'
'-x+1/2,y+1/2,-z'
'x+1/2,-y+1/2,z'
loop_
_atom_site_label
_atom_site_type_symbol
_atom_site_fract_x
_atom_site_fract_y
_atom_site_fract_z
Tc1 Tc 0.0000 0.0000 0.0000
Ir1 Ir 0.0437 0.5000 0.7301
Ir2 Ir 0.0905 0.0000 0.4506
Ir3 Ir 0.1339 0.5000 0.1770
Ir4 Ir 0.1812 0.0000 0.9102
Rh1 Rh 0.2253 0.5000 0.6344
```

[2]
This entry pairs a crystal structure of TcIrRh6 with its calculated powder XRD pattern. Radiation: λ = 1.5418 Å (Cu Kα). Structure: a PBE-relaxed structure.
Peak positions follow from Bragg's law for the DFT cell and can differ from measured ones.

Most intense lines, 2θ from 10° to 90°, sorted by position:
11.5°, I 3
25.9°, I 3
35.0°, I 2
40.6°, I 100
47.3°, I 48
69.1°, I 30
83.3°, I 37
87.9°, I 11

```
data_TcIrRh6
_chemical_formula_sum 'Tc1 Ir1 Rh6'
_symmetry_space_group_name_H-M 'P 4/m m m'
_symmetry_Int_Tables_number 123
_symmetry_space_group_name_Hall '-P 4 2'
_cell_length_a 3.8453
_cell_length_b 3.8453
_cell_length_c 7.6994
_cell_angle_alpha 90.00
_cell_angle_beta 90.00
_cell_angle_gamma 90.00
loop_
_atom_site_label
_atom_site_type_symbol
_atom_site_fract_x
_atom_site_fract_y
_atom_site_fract_z
Tc1 Tc 0.0000 0.0000 0.0000
Ir1 Ir 0.0000 0.0000 0.5000
Rh1 Rh 0.0000 0.5000 0.2468
Rh2 Rh 0.5000 0.5000 0.0000
Rh3 Rh 0.5000 0.5000 0.5000
```

[3]
This entry pairs a crystal structure of Tc2Ir3Rh3 with its calculated powder XRD pattern. Radiation: λ = 1.5418 Å (Cu Kα). Structure: a PBE-relaxed structure.
Peak positions follow from Bragg's law for the DFT cell and can differ from measured ones.

Most intense lines, 2θ from 10° to 90°, sorted by position:
40.5°, I 100
46.9°, I 16
47.1°, I 16
47.4°, I 16
82.6°, I 13
83.1°, I 13
83.4°, I 12
87.6°, I 11

```
data_Tc2Ir3Rh3
_chemical_formula_sum 'Tc2 Ir3 Rh3'
_symmetry_space_group_name_H-M 'P m m m'
_symmetry_Int_Tables_number 47
_cell_length_a 3.8557
_cell_length_b 3.8781
_cell_length_c 7.6757
_cell_angle_alpha 90.00
_cell_angle_beta 90.00
_cell_angle_gamma 90.00
loop_
_symmetry_equiv_pos_as_xyz
'x,y,z'
'-x,-y,-z'
'-x,-y,z'
'x,y,-z'
'x,-y,-z'
'-x,y,z'
'-x,y,-z'
'x,-y,z'
loop_
_atom_site_label
_atom_site_type_symbol
_atom_site_fract_x
_atom_site_fract_y
_atom_site_fract_z
Tc1 Tc 0.0000 0.0000 0.2503
Ir1 Ir 0.0000 0.5000 0.0000
Ir2 Ir 0.5000 0.0000 0.0000
Ir3 Ir 0.5000 0.0000 0.5000
Rh1 Rh 0.0000 0.5000 0.5000
Rh2 Rh 0.5000 0.5000 0.2493
```

[4]
This entry pairs a crystal structure of Tc4Ir3Rh2 with its calculated powder XRD pattern. Radiation: λ = 1.5418 Å (Cu Kα). Structure: a PBE-relaxed structure.
Peak positions follow from Bragg's law for the DFT cell and can differ from measured ones.

Most intense lines, 2θ from 10° to 90°, sorted by position:
38.3°, I 69
41.8°, I 100
43.1°, I 73
43.6°, I 66
43.7°, I 68
43.8°, I 65
43.9°, I 66
44.1°, I 65

```
data_Tc4Ir3Rh2
_chemical_formula_sum 'Tc8 Ir6 Rh4'
_symmetry_space_group_name_H-M 'P -1'
_symmetry_Int_Tables_number 2
_cell_length_a 5.1411
_cell_length_b 6.9384
_cell_length_c 8.3947
_cell_angle_alpha 79.16
_cell_angle_beta 85.82
_cell_angle_gamma 70.89
loop_
_symmetry_equiv_pos_as_xyz
'x,y,z'
'-x,-y,-z'
loop_
_atom_site_label
_atom_site_type_symbol
_atom_site_fract_x
_atom_site_fract_y
_atom_site_fract_z
Tc1 Tc 0.0414 0.1466 0.0694
Tc2 Tc 0.0719 0.0404 0.6329
Tc3 Tc 0.2351 0.5576 0.4814
Tc4 Tc 0.3446 0.7468 0.1642
Ir1 Ir 0.1109 0.3482 0.7624
Ir2 Ir 0.1541 0.2567 0.3326
Ir3 Ir 0.4252 0.9506 0.8660
Rh1 Rh 0.2717 0.4509 0.0317
Rh2 Rh 0.4691 0.8503 0.4321
```

[5]
This entry pairs a crystal structure of TcIr3Rh6 with its calculated powder XRD pattern. Radiation: λ = 1.5418 Å (Cu Kα). Structure: a PBE-relaxed structure.
Peak positions follow from Bragg's law for the DFT cell and can differ from measured ones.

Most intense lines, 2θ from 10° to 90°, sorted by position:
12.8°, I 20
35.6°, I 17
38.0°, I 84
39.2°, I 29
41.3°, I 16
44.5°, I 100
63.9°, I 17
65.5°, I 26

```
data_TcIr3Rh6
_chemical_formula_sum 'Tc1 Ir3 Rh6'
_symmetry_space_group_name_H-M 'P -3 1 m'
_symmetry_Int_Tables_number 162
_symmetry_space_group_name_Hall '-P 3 2'
_cell_length_a 5.0454
_cell_length_b 5.0454
_cell_length_c 6.9018
_cell_angle_alpha 90.00
_cell_angle_beta 90.00
_cell_angle_gamma 120.00
loop_
_atom_site_label
_atom_site_type_symbol
_atom_site_fract_x
_atom_site_fract_y
_atom_site_fract_z
Tc1 Tc 0.0000 0.0000 0.0000
Ir1 Ir 0.0000 0.0000 0.5000
Ir2 Ir 0.3333 0.6667 0.5000
Rh1 Rh 0.0000 0.4077 0.8095
```

[6]
This entry pairs a crystal structure of TcIr2Rh6 with its calculated powder XRD pattern. Radiation: λ = 1.5418 Å (Cu Kα). Structure: a PBE-relaxed structure.
Peak positions follow from Bragg's law for the DFT cell and can differ from measured ones.

Most intense lines, 2θ from 10° to 90°, sorted by position:
37.9°, I 29
41.1°, I 31
43.3°, I 100
43.4°, I 20
57.1°, I 9
68.5°, I 20
76.4°, I 11
83.0°, I 12

```
data_TcIr2Rh6
_chemical_formula_sum 'Tc2 Ir4 Rh12'
_symmetry_space_group_name_H-M 'P -1'
_symmetry_Int_Tables_number 2
_cell_length_a 5.1748
_cell_length_b 7.0372
_cell_length_c 7.2454
_cell_angle_alpha 98.51
_cell_angle_beta 95.66
_cell_angle_gamma 96.80
loop_
_symmetry_equiv_pos_as_xyz
'x,y,z'
'-x,-y,-z'
loop_
_atom_site_label
_atom_site_type_symbol
_atom_site_fract_x
_atom_site_fract_y
_atom_site_fract_z
Tc1 Tc 0.0894 0.3451 0.0543
Ir1 Ir 0.1291 0.8789 0.2741
Ir2 Ir 0.3549 0.1010 0.6128
Rh1 Rh 0.0180 0.7703 0.6121
Rh2 Rh 0.1965 0.4542 0.7228
Rh3 Rh 0.2341 0.9902 0.9428
Rh4 Rh 0.3168 0.5651 0.3856
Rh5 Rh 0.4205 0.6726 0.0565
Rh6 Rh 0.4574 0.2142 0.2765
```

[7]
This entry pairs a crystal structure of Tc3IrRh6 with its calculated powder XRD pattern. Radiation: λ = 1.5418 Å (Cu Kα). Structure: a PBE-relaxed structure.
Peak positions follow from Bragg's law for the DFT cell and can differ from measured ones.

Most intense lines, 2θ from 10° to 90°, sorted by position:
40.5°, I 39
40.9°, I 100
42.0°, I 30
44.6°, I 41
45.6°, I 10
48.0°, I 14
72.1°, I 13
76.1°, I 13

```
data_Tc3IrRh6
_chemical_formula_sum 'Tc18 Ir6 Rh36'
_symmetry_space_group_name_H-M 'R -3 m'
_symmetry_Int_Tables_number 166
_symmetry_space_group_name_Hall '-R 3 2"'
_cell_length_a 10.4752
_cell_length_b 10.4752
_cell_length_c 9.1852
_cell_angle_alpha 90.00
_cell_angle_beta 90.00
_cell_angle_gamma 120.00
loop_
_atom_site_label
_atom_site_type_symbol
_atom_site_fract_x
_atom_site_fract_y
_atom_site_fract_z
Tc1 Tc 0.0841 0.1682 0.2530
Ir1 Ir 0.0000 0.0000 0.0000
Ir2 Ir 0.0000 0.0000 0.5000
Rh1 Rh 0.0000 0.2558 0.5000
Rh2 Rh 0.0514 0.5257 0.6252
```

[8]
This entry pairs a crystal structure of Tc2Ir2Rh5 with its calculated powder XRD pattern. Radiation: λ = 1.5418 Å (Cu Kα). Structure: a PBE-relaxed structure.
Peak positions follow from Bragg's law for the DFT cell and can differ from measured ones.

Most intense lines, 2θ from 10° to 90°, sorted by position:
25.4°, I 68
39.2°, I 29
42.8°, I 95
43.6°, I 44
43.7°, I 24
44.1°, I 26
44.8°, I 100
64.7°, I 21

```
data_Tc2Ir2Rh5
_chemical_formula_sum 'Tc4 Ir4 Rh10'
_symmetry_space_group_name_H-M 'C 1 2/m 1'
_symmetry_Int_Tables_number 12
_cell_length_a 12.3456
_cell_length_b 4.0487
_cell_length_c 7.0153
_cell_angle_alpha 90.00
_cell_angle_beta 122.36
_cell_angle_gamma 90.00
loop_
_symmetry_equiv_pos_as_xyz
'x,y,z'
'-x,-y,-z'
'-x,y,-z'
'x,-y,z'
'x+1/2,y+1/2,z'
'-x+1/2,-y+1/2,-z'
'-x+1/2,y+1/2,-z'
'x+1/2,-y+1/2,z'
loop_
_atom_site_label
_atom_site_type_symbol
_atom_site_fract_x
_atom_site_fract_y
_atom_site_fract_z
Tc1 Tc 0.0568 0.0000 0.2973
Ir1 Ir 0.0777 0.5000 0.7216
Rh1 Rh 0.0000 0.5000 0.0000
Rh2 Rh 0.1688 0.0000 0.0495
Rh3 Rh 0.1902 0.5000 0.5116
```